No. 1
Calculated XRD peak list
Compound: Na2Be2RuO6
Radiation: copper Kα
Structure: a structure optimized by DFT (PBE)

Atomic structure:
Cell lengths 5.124, 5.124, 5.832 Å; angles 90.00, 90.00, 120.00 degrees
Fractional coordinates of all 11 atoms:
Na (0.333, 0.667, 0.366)
Na (0.667, 0.333, 0.634)
Be (0.333, 0.667, 0.844)
Be (0.667, 0.333, 0.156)
Ru (0.000, 0.000, 0.000)
O (0.073, 0.733, 0.809)
O (0.267, 0.341, 0.809)
O (0.341, 0.073, 0.191)
O (0.659, 0.927, 0.809)
O (0.733, 0.659, 0.191)
O (0.927, 0.267, 0.191)

Peak list (10 most intense, 5 to 70 degrees two-theta, low angle first)
| two_theta | Rel. int. | index |
| --- | --- | --- |
| 15.19 | 56 | 0 0 1 |
| 20.01 | 40 | 1 0 0 |
| 25.22 | 100 | 0 1 1 |
| 35.02 | 22 | 1 1 0 |
| 36.88 | 38 | 1 0 2 |
| 38.37 | 18 | 2 -1 1 |
| 43.65 | 25 | 2 0 1 |
| 47.22 | 21 | 2 -1 2 |
| 57.14 | 20 | 3 -2 1 |
| 59.71 | 16 | 1 1 3 |

=====

No. 2
Calculated XRD peak list
Compound: PmPu3Ge4
Radiation: copper Kα
Structure: a structure optimized by DFT (PBE)

Atomic structure:
Cell lengths 2.997, 7.891, 16.015 Å; angles 90.00, 90.00, 90.00 degrees
Fractional coordinates of all 16 atoms:
Pm (0.000, 0.000, 0.000)
Pm (0.500, 0.500, 0.500)
Pu (0.000, 0.000, 0.500)
Pu (0.000, 0.500, 0.274)
Pu (0.000, 0.500, 0.726)
Pu (0.500, 0.000, 0.226)
Pu (0.500, 0.000, 0.774)
Pu (0.500, 0.500, 0.000)
Ge (0.000, 0.272, 0.127)
Ge (0.000, 0.272, 0.873)
Ge (0.000, 0.728, 0.127)
Ge (0.000, 0.728, 0.873)
Ge (0.500, 0.228, 0.373)
Ge (0.500, 0.228, 0.627)
Ge (0.500, 0.772, 0.373)
Ge (0.500, 0.772, 0.627)

Peak list (10 most intense, 5 to 70 degrees two-theta, low angle first)
| two_theta | Rel. int. | index |
| --- | --- | --- |
| 20.08 | 17 | 0 1 3 |
| 22.20 | 22 | 0 0 4 |
| 22.53 | 31 | 0 2 0 |
| 31.84 | 97 | 0 2 4 |
| 33.90 | 100 | 1 1 2 |
| 38.13 | 21 | 0 3 3 |
| 41.25 | 16 | 1 0 5 |
| 46.00 | 19 | 0 4 0 |
| 47.02 | 26 | 1 1 6 |
| 47.36 | 40 | 1 3 2 |

=====

No. 3
Calculated XRD peak list
Compound: Y4Ga16Cu3
Radiation: copper Kα
Structure: a structure optimized by DFT (PBE)

Atomic structure:
Cell lengths 6.217, 6.217, 10.998 Å; angles 90.00, 90.00, 90.00 degrees
Fractional coordinates of all 23 atoms:
Y (0.000, 0.500, 0.190)
Y (0.000, 0.500, 0.810)
Y (0.500, 0.000, 0.190)
Y (0.500, 0.000, 0.810)
Ga (0.000, 0.000, 0.200)
Ga (0.000, 0.000, 0.800)
Ga (0.214, 0.214, 0.000)
Ga (0.214, 0.786, 0.000)
Ga (0.243, 0.243, 0.379)
Ga (0.243, 0.243, 0.621)
Ga (0.243, 0.757, 0.379)
Ga (0.243, 0.757, 0.621)
Ga (0.500, 0.500, 0.232)
Ga (0.500, 0.500, 0.768)
Ga (0.757, 0.243, 0.379)
Ga (0.757, 0.243, 0.621)
Ga (0.757, 0.757, 0.379)
Ga (0.757, 0.757, 0.621)
Ga (0.786, 0.214, 0.000)
Ga (0.786, 0.786, 0.000)
Cu (0.000, 0.500, 0.500)
Cu (0.500, 0.000, 0.500)
Cu (0.500, 0.500, 0.000)

Peak list (10 most intense, 5 to 70 degrees two-theta, low angle first)
| two_theta | Rel. int. | index |
| --- | --- | --- |
| 21.77 | 7 | 1 1 1 |
| 29.87 | 11 | 2 0 1 |
| 31.78 | 17 | 1 1 3 |
| 33.10 | 38 | 2 0 2 |
| 37.95 | 100 | 2 0 3 |
| 40.73 | 5 | 2 1 3 |
| 41.05 | 100 | 2 2 0 |
| 43.96 | 24 | 2 0 4 |
| 59.46 | 49 | 4 0 0 |
| 69.77 | 6 | 4 2 2 |

=====

What is the formula in the third record?
Y4Ga16Cu3